No. 1
Calculated powder diffraction line list of KCaIrAuO for λ = 1.5418 Å (Cu Kα), from DFT lattice parameters and positions (GGA-PBE).
Peak positions follow from Bragg's law for the DFT cell and can differ from measured ones.

The 6 most intense peaks (2θ from 15° to 90°), by intensity:
h k l	2θ (°)	I (rel.)
1 1 0	33.35	100.0
1 0 2	32.79	86.4
0 1 2	32.69	75.2
1 0 0	23.48	59.2
1 0 3	41.81	51.7
0 1 0	23.34	46.9

Structural model:
Lattice parameters (Å, degrees): 3.7887 3.8109 7.8799 90.00 90.00 90.00
Space group Pmm2 (No. 25)
Symmetry-distinct sites (fractional):
K1 0.0000 0.0000 0.0000 (multiplicity 1)
Ca1 0.0000 0.0000 0.5169 (multiplicity 1)
Ir1 0.5000 0.5000 0.7064 (multiplicity 1)
Au1 0.5000 0.5000 0.3054 (multiplicity 1)
O1 0.5000 0.0000 0.7155 (multiplicity 1)

---

No. 2
Calculated powder diffraction line list of Li3LaBi2 for λ = 1.5418 Å (Cu Kα), from DFT lattice parameters and positions (GGA-PBE).
Peak positions follow from Bragg's law for the DFT cell and can differ from measured ones.

The 6 most intense peaks (2θ from 15° to 90°), by intensity:
h k l	2θ (°)	I (rel.)
3 1 2	31.15	100.0
3 1 -2	28.06	78.9
4 0 1	23.03	57.6
4 0 -2	23.47	47.1
0 2 0	39.44	40.7
2 0 -3	24.69	35.1

Structural model:
Lattice parameters (Å, degrees): 17.9920 4.5698 11.0954 90.00 100.50 90.00
Space group C2/m (No. 12)
Symmetry-distinct sites (fractional):
Li1 0.0000 0.0000 0.0000 (multiplicity 2)
Li2 0.0507 0.5000 0.8386 (multiplicity 4)
Li3 0.1199 0.0000 0.7243 (multiplicity 4)
Li4 0.1805 0.0000 0.4864 (multiplicity 4)
Li5 0.2079 0.5000 0.9010 (multiplicity 4)
La1 0.0000 0.5000 0.5000 (multiplicity 2)
La2 0.1709 0.5000 0.2176 (multiplicity 4)
Bi1 0.0449 0.0000 0.3010 (multiplicity 4)
Bi2 0.1448 0.0000 0.9872 (multiplicity 4)
Bi3 0.1908 0.5000 0.6412 (multiplicity 4)

---

No. 3
Calculated powder diffraction line list of Ti6Ga16Ir7 for λ = 1.5418 Å (Cu Kα), from DFT lattice parameters and positions (GGA-PBE).
Peak positions follow from Bragg's law for the DFT cell and can differ from measured ones.

The 6 most intense peaks (2θ from 15° to 90°), by intensity:
h k l	2θ (°)	I (rel.)
4 4 0	41.79	100.0
2 2 2	25.23	48.7
6 2 2	49.44	32.9
8 4 4	76.30	23.2
8 0 0	60.58	13.9
6 6 2	66.68	13.2

Structural model:
Lattice parameters (Å, degrees): 12.2278 12.2278 12.2278 90.00 90.00 90.00
Space group Fm-3m (No. 225)
Symmetry-distinct sites (fractional):
Ti1 0.0000 0.0000 0.1952 (multiplicity 24)
Ga1 0.1232 0.1232 0.3768 (multiplicity 32)
Ga2 0.1478 0.1478 0.1478 (multiplicity 32)
Ir1 0.0000 0.0000 0.5000 (multiplicity 4)
Ir2 0.0000 0.2500 0.2500 (multiplicity 24)

---

No. 4
Calculated powder diffraction line list of Ac6TcOs for λ = 1.5418 Å (Cu Kα), from DFT lattice parameters and positions (GGA-PBE).
Peak positions follow from Bragg's law for the DFT cell and can differ from measured ones.

The 6 most intense peaks (2θ from 15° to 90°), by intensity:
h k l	2θ (°)	I (rel.)
1 3 1	29.69	100.0
3 3 -1	43.20	73.6
2 0 0	25.46	60.7
1 3 -1	26.36	55.1
2 0 -2	30.65	46.4
4 0 0	52.30	21.4

Structural model:
Lattice parameters (Å, degrees): 7.2850 12.4460 7.2942 90.00 106.30 90.00
Space group C2/m (No. 12)
Symmetry-distinct sites (fractional):
Ac1 0.2493 0.1601 0.2507 (multiplicity 8)
Ac2 0.2502 0.0000 0.7521 (multiplicity 4)
Tc1 0.0000 0.0000 0.0000 (multiplicity 2)
Os1 0.0000 0.5000 0.5000 (multiplicity 2)